Record 1
Starting from a DFT-relaxed cell (GGA-PBE, Alexandria), the powder XRD pattern of LuMgNiRh was computed for Cu Kα X-rays.
Intensities are scaled so that the largest is 100.

Cell lengths 6.4426, 6.4426, 6.4426 Å; angles 90.00, 90.00, 90.00 degrees
Atoms (fractional coordinates):
Lu 0.0000 0.0000 0.0000
Lu 0.0000 0.5000 0.5000
Lu 0.5000 0.0000 0.5000
Lu 0.5000 0.5000 0.0000
Mg 0.0000 0.0000 0.5000
Mg 0.0000 0.5000 0.0000
Mg 0.5000 0.0000 0.0000
Mg 0.5000 0.5000 0.5000
Ni 0.2500 0.2500 0.2500
Ni 0.2500 0.7500 0.7500
Ni 0.7500 0.2500 0.7500
Ni 0.7500 0.7500 0.2500
Rh 0.2500 0.2500 0.7500
Rh 0.2500 0.7500 0.2500
Rh 0.7500 0.2500 0.2500
Rh 0.7500 0.7500 0.7500

Largest 8 diffraction maxima, low angle first, 2θ = 15–90°:
d/Å  intensity
3.720  41.8
2.278  100.0
1.943  21.5
1.611  16.8
1.478  9.1
1.315  33.5
1.240  6.9
1.139  10.6

---

Record 2
Starting from a DFT-relaxed cell (GGA-PBE, Alexandria), the powder XRD pattern of NdDy5Tl4 was computed for Cu Kα X-rays.
Intensities are scaled so that the largest is 100.

Cell lengths 3.6088, 3.6088, 21.9474 Å; angles 90.00, 90.00, 90.00 degrees
Atoms (fractional coordinates):
Nd 0.0000 0.0000 0.0000
Dy 0.5000 0.5000 0.1172
Dy 0.5000 0.5000 0.3081
Dy 0.5000 0.5000 0.5000
Dy 0.5000 0.5000 0.6919
Dy 0.5000 0.5000 0.8828
Tl 0.0000 0.0000 0.2122
Tl 0.0000 0.0000 0.4042
Tl 0.0000 0.0000 0.5958
Tl 0.0000 0.0000 0.7878

Largest 8 diffraction maxima, low angle first, 2θ = 15–90°:
d/Å  intensity
2.788  100.0
2.569  8.0
2.552  43.6
2.195  9.3
1.804  15.7
1.664  15.8
1.515  32.1
1.394  8.8

---

Record 3
Starting from a DFT-relaxed cell (GGA-PBE, Alexandria), the powder XRD pattern of NdDy4Cd was computed for Cu Kα X-rays.
Intensities are scaled so that the largest is 100.

Cell lengths 3.5933, 3.5933, 14.1341 Å; angles 90.00, 90.00, 90.00 degrees
Atoms (fractional coordinates):
Nd 0.0000 0.0000 0.0000
Dy 0.0000 0.0000 0.3550
Dy 0.0000 0.0000 0.6450
Dy 0.5000 0.5000 0.1801
Dy 0.5000 0.5000 0.8199
Cd 0.5000 0.5000 0.5000

Largest 8 diffraction maxima, low angle first, 2θ = 15–90°:
d/Å  intensity
2.857  100.0
2.541  39.4
2.356  11.3
1.797  14.0
1.727  17.5
1.521  29.8
1.429  9.3
1.136  6.4

---

Record 4
Starting from a DFT-relaxed cell (GGA-PBE, Alexandria), the powder XRD pattern of TlHgTe3As was computed for Cu Kα X-rays.
Intensities are scaled so that the largest is 100.

Cell lengths 8.8700, 4.3932, 10.4257 Å; angles 90.00, 105.20, 90.00 degrees
Atoms (fractional coordinates):
Tl 0.2126 0.2500 0.2604
Tl 0.7874 0.7500 0.7396
Hg 0.0872 0.2500 0.6190
Hg 0.9128 0.7500 0.3810
Te 0.1118 0.2500 0.8966
Te 0.2537 0.7500 0.5377
Te 0.4549 0.7500 0.1479
Te 0.5451 0.2500 0.8521
Te 0.7463 0.2500 0.4623
Te 0.8882 0.7500 0.1034
As 0.3268 0.7500 0.8860
As 0.6732 0.2500 0.1140

Largest 8 diffraction maxima, low angle first, 2θ = 15–90°:
d/Å  intensity
3.283  68.4
3.099  62.7
3.065  100.0
2.877  64.1
2.790  30.4
2.711  56.2
2.196  50.0
1.746  29.5

---

Record 5
Starting from a DFT-relaxed cell (GGA-PBE, Alexandria), the powder XRD pattern of GaB6Pt12 was computed for Cu Kα X-rays.
Intensities are scaled so that the largest is 100.

Cell lengths 6.8665, 6.8665, 6.8665 Å; angles 108.75, 108.75, 108.75 degrees
Atoms (fractional coordinates):
Ga 0.0000 0.0000 0.0000
B 0.1859 0.5978 0.2597
B 0.2597 0.1859 0.5978
B 0.4022 0.7403 0.8141
B 0.5978 0.2597 0.1859
B 0.7403 0.8141 0.4022
B 0.8141 0.4022 0.7403
Pt 0.0370 0.8360 0.3162
Pt 0.1640 0.6838 0.9630
Pt 0.1647 0.4228 0.4910
Pt 0.3162 0.0370 0.8360
Pt 0.4228 0.4910 0.1647
Pt 0.4910 0.1647 0.4228
Pt 0.5090 0.8353 0.5772
Pt 0.5772 0.5090 0.8353
Pt 0.6838 0.9630 0.1640
Pt 0.8353 0.5772 0.5090
Pt 0.8360 0.3162 0.0370
Pt 0.9630 0.1640 0.6838

Largest 8 diffraction maxima, low angle first, 2θ = 15–90°:
d/Å  intensity
2.547  100.0
2.509  85.0
2.369  25.6
2.140  43.2
2.117  24.6
2.110  44.1
1.575  17.8
1.296  18.7

---

Record 6
Starting from a DFT-relaxed cell (GGA-PBE, Alexandria), the powder XRD pattern of AcCuH4 was computed for Cu Kα X-rays.
Intensities are scaled so that the largest is 100.

Cell lengths 7.8781, 4.9294, 4.1603 Å; angles 90.00, 121.34, 90.00 degrees
Atoms (fractional coordinates):
Ac 0.0000 0.0000 0.0000
Ac 0.5000 0.5000 0.0000
Cu 0.0000 0.5000 0.5000
Cu 0.5000 0.0000 0.5000
H 0.1645 0.2516 0.6637
H 0.1645 0.7484 0.6637
H 0.3355 0.2484 0.3363
H 0.3355 0.7516 0.3363
H 0.6645 0.2484 0.6637
H 0.6645 0.7516 0.6637
H 0.8355 0.2516 0.3363
H 0.8355 0.7484 0.3363

Largest 8 diffraction maxima, low angle first, 2θ = 15–90°:
d/Å  intensity
3.977  46.0
3.364  56.4
3.179  100.0
2.465  24.3
2.319  42.5
2.303  41.7
1.988  27.4
1.390  16.9

---

Record 7
Starting from a DFT-relaxed cell (GGA-PBE, Alexandria), the powder XRD pattern of TaSe was computed for Cu Kα X-rays.
Intensities are scaled so that the largest is 100.

Cell lengths 3.2651, 3.2651, 9.5956 Å; angles 90.00, 90.00, 120.00 degrees
Atoms (fractional coordinates):
Ta 0.3333 0.6667 0.1212
Ta 0.6667 0.3333 0.8788
Se 0.3333 0.6667 0.6927
Se 0.6667 0.3333 0.3073

Largest 8 diffraction maxima, low angle first, 2θ = 15–90°:
d/Å  intensity
2.828  31.0
2.712  14.2
2.436  100.0
2.119  37.6
1.633  24.2
1.588  12.2
1.356  15.9
1.243  14.0

---

Record 8
Starting from a DFT-relaxed cell (GGA-PBE, Alexandria), the powder XRD pattern of Pm5Tc2O12 was computed for Cu Kα X-rays.
Intensities are scaled so that the largest is 100.

Cell lengths 7.0158, 7.0158, 7.7227 Å; angles 106.09, 106.09, 49.28 degrees
Atoms (fractional coordinates):
Pm 0.0000 0.0000 0.0000
Pm 0.3060 0.3060 0.1430
Pm 0.3120 0.3120 0.6700
Pm 0.6880 0.6880 0.3300
Pm 0.6940 0.6940 0.8570
Tc 0.2215 0.7785 0.5000
Tc 0.7785 0.2215 0.5000
O 0.9998 0.9998 0.3046
O 0.0002 0.0002 0.6954
O 0.0913 0.5859 0.4193
O 0.0967 0.5942 0.9239
O 0.4058 0.9033 0.0761
O 0.4141 0.9087 0.5807
O 0.4994 0.4994 0.3296
O 0.5006 0.5006 0.6704
O 0.5859 0.0913 0.4193
O 0.5942 0.0967 0.9239
O 0.9033 0.4058 0.0761
O 0.9087 0.4141 0.5807

Largest 8 diffraction maxima, low angle first, 2θ = 15–90°:
d/Å  intensity
3.329  96.7
3.223  100.0
2.794  57.2
2.290  18.3
2.023  33.2
1.931  21.5
1.682  23.1
1.672  21.3

---

Record 9
Starting from a DFT-relaxed cell (GGA-PBE, Alexandria), the powder XRD pattern of Cd2GaSn was computed for Cu Kα X-rays.
Intensities are scaled so that the largest is 100.

Cell lengths 4.5141, 4.0212, 10.4220 Å; angles 90.00, 94.43, 90.00 degrees
Atoms (fractional coordinates):
Cd 0.0263 0.2500 0.3755
Cd 0.4676 0.2500 0.6177
Cd 0.5324 0.7500 0.3823
Cd 0.9737 0.7500 0.6245
Ga 0.3908 0.7500 0.8703
Ga 0.6092 0.2500 0.1297
Sn 0.1200 0.7500 0.1276
Sn 0.8800 0.2500 0.8724

Largest 8 diffraction maxima, low angle first, 2θ = 15–90°:
d/Å  intensity
2.921  26.5
2.657  100.0
2.598  58.4
2.541  81.2
2.165  21.8
2.011  29.4
1.590  26.2
1.473  19.4

---

Record 10
Starting from a DFT-relaxed cell (GGA-PBE, Alexandria), the powder XRD pattern of ZnFe2HRu was computed for Cu Kα X-rays.
Intensities are scaled so that the largest is 100.

Cell lengths 3.7623, 3.7623, 3.8437 Å; angles 90.00, 90.00, 90.00 degrees
Atoms (fractional coordinates):
Zn 0.0000 0.0000 0.0000
Fe 0.0000 0.5000 0.5000
Fe 0.5000 0.0000 0.5000
H 0.5000 0.5000 0.5000
Ru 0.5000 0.5000 0.0000

Largest 8 diffraction maxima, low angle first, 2θ = 15–90°:
d/Å  intensity
2.188  100.0
1.922  16.8
1.881  31.4
1.344  19.3
1.330  9.3
1.154  11.5
1.137  21.9
1.094  9.9